(1)
La2Pm7SmTl2: simulated powder diffraction line list (Cu Kα (λ = 1.5418 Å)), based on a DFT-relaxed cell (GGA-PBE, Alexandria).

Principal peaks in the range 2θ = 10–90°, low angle first:
29.33°, d = 3.045 Å, I = 100, (0 2 3)
30.95°, d = 2.889 Å, I = 70, (2 2 0)
31.96°, d = 2.801 Å, I = 22, (2 2 1)
34.81°, d = 2.577 Å, I = 53, (2 0 3)
35.11°, d = 2.556 Å, I = 25, (1 1 4)
35.24°, d = 2.547 Å, I = 31, (0 4 0)
50.37°, d = 1.812 Å, I = 35, (2 4 3)
60.95°, d = 1.520 Å, I = 25, (4 2 3)

Crystal structure
abc: 7.017 10.186 11.398
angles: 90.00 90.00 90.00
Space group Cmmm (No. 65)
Unique sites:
La 0.000 0.000 0.147 x4
Pm 0.000 0.000 0.500 x2
Pm 0.000 0.316 0.000 x4
Pm 0.250 0.250 0.332 x8
Sm 0.000 0.500 0.500 x2
Tl 0.000 0.500 0.226 x4

=====

(2)
MgAg2Os: simulated powder diffraction line list (Cu Kα (λ = 1.5418 Å)), based on a DFT-relaxed cell (GGA-PBE, Alexandria).

Principal peaks in the range 2θ = 10–90°, low angle first:
20.28°, d = 4.378 Å, I = 45, (0 1 1)
33.42°, d = 2.681 Å, I = 11, (1 0 1)
35.90°, d = 2.501 Å, I = 37, (0 0 4)
36.92°, d = 2.434 Å, I = 35, (0 2 0)
41.50°, d = 2.176 Å, I = 100, (1 1 2)
52.45°, d = 1.745 Å, I = 25, (0 2 4)
68.35°, d = 1.372 Å, I = 23, (1 1 6)
69.64°, d = 1.350 Å, I = 23, (1 3 2)

Crystal structure
abc: 2.783 4.869 10.006
angles: 90.00 90.00 90.00
Space group Immm (No. 71)
Unique sites:
Mg 0.000 0.000 0.000 x2
Ag 0.000 0.500 0.246 x4
Os 0.000 0.000 0.500 x2